Starting from the PBE geometry in Alexandria, the powder diffractogram of Pr7Y4Th was computed for a wavelength of 1.5418 Å.
Neutral-atom scattering factors, no anomalous dispersion.

Largest 12 diffraction maxima, by intensity, 2θ = 15–90°:
Position (°2θ)	I (rel.)	hkl
30.52	100	1 -2 2
31.60	74	1 0 3
31.47	68	0 2 1
30.22	67	2 0 -1
31.75	50	2 1 0
25.15	43	0 2 -1
34.50	31	2 1 -2
28.68	31	2 0 0
28.06	30	0 0 3
34.44	22	-2 1 1
51.97	21	3 2 -2
51.63	20	0 4 -2

Structural model:
```
data_Pr7Y4Th
_chemical_formula_sum 'Pr7 Y4 Th1'
_symmetry_space_group_name_H-M 'P -1'
_symmetry_Int_Tables_number 2
_cell_length_a 6.225
_cell_length_b 7.081
_cell_length_c 10.166
_cell_angle_alpha 110.22
_cell_angle_beta 90.04
_cell_angle_gamma 90.03
loop_
_symmetry_equiv_pos_as_xyz
'x,y,z'
'-x,-y,-z'
loop_
_atom_site_label
_atom_site_fract_x
_atom_site_fract_y
_atom_site_fract_z
Pr1 0.000 0.000 0.000
Pr2 0.237 0.710 0.420
Pr3 0.254 0.534 0.070
Pr4 0.257 0.184 0.366
Y1 0.255 0.601 0.726
Y2 0.256 0.125 0.725
Th1 0.500 0.000 0.000
```



Starting from the PBE geometry in Alexandria, the powder diffractogram of Nd4Co3Ge8 was computed for a wavelength of 1.5418 Å.
Neutral-atom scattering factors, no anomalous dispersion.

Largest 12 diffraction maxima, by intensity, 2θ = 15–90°:
Position (°2θ)	I (rel.)	hkl
34.14	100	1 1 3
34.38	28	0 1 5
42.49	26	0 2 0
39.14	25	1 0 6
43.08	25	2 0 0
59.13	19	1 2 6
62.11	16	2 2 0
30.39	16	1 1 1
54.49	15	0 1 9
71.87	13	2 1 9
56.24	13	2 1 5
49.21	12	1 0 8

Structural model:
```
data_Nd4Co3Ge8
_chemical_formula_sum 'Nd4 Co3 Ge8'
_symmetry_space_group_name_H-M 'P m m 2'
_symmetry_Int_Tables_number 25
_cell_length_a 4.200
_cell_length_b 4.255
_cell_length_c 16.508
_cell_angle_alpha 90.00
_cell_angle_beta 90.00
_cell_angle_gamma 90.00
loop_
_symmetry_equiv_pos_as_xyz
'x,y,z'
'-x,-y,z'
'-x,y,z'
'x,-y,z'
loop_
_atom_site_label
_atom_site_fract_x
_atom_site_fract_y
_atom_site_fract_z
Nd1 0.000 0.000 0.000
Nd2 0.000 0.500 0.498
Nd3 0.500 0.000 0.214
Nd4 0.500 0.500 0.712
Co1 0.000 0.000 0.788
Co2 0.000 0.500 0.297
Co3 0.500 0.500 0.925
Ge1 0.000 0.000 0.362
Ge2 0.000 0.000 0.648
Ge3 0.000 0.500 0.157
Ge4 0.000 0.500 0.855
Ge5 0.500 0.000 0.550
Ge6 0.500 0.000 0.856
Ge7 0.500 0.500 0.064
Ge8 0.500 0.500 0.361
```